(1)
The following is a computed X-ray powder pattern of Ac12Ni6Hg. It was derived from DFT lattice parameters and positions (PBE), using Cu Kα X-rays.

Structural model:
```
Ac12Ni6Hg
1.0
-5.335 5.335 5.335
5.335 -5.335 5.335
5.335 5.335 -5.335
Ac Ni Hg
12 6 1
Direct
0.129 0.818 0.311
0.182 0.311 0.493
0.182 0.689 0.871
0.311 0.129 0.818
0.311 0.493 0.182
0.493 0.182 0.311
0.507 0.818 0.689
0.689 0.507 0.818
0.689 0.871 0.182
0.818 0.311 0.129
0.818 0.689 0.507
0.871 0.182 0.689
0.119 0.619 0.500
0.381 0.500 0.881
0.500 0.119 0.619
0.500 0.881 0.381
0.619 0.500 0.119
0.881 0.381 0.500
0.000 0.000 0.000
```

Top 8 peaks for 10° ≤ 2θ ≤ 90°, sorted by position:
| 2theta | Rel. int. |
| --- | --- |
| 26.41 | 68.0 |
| 28.99 | 35.1 |
| 31.37 | 100.0 |
| 43.23 | 21.8 |
| 49.83 | 42.0 |
| 52.89 | 37.4 |
| 74.38 | 17.7 |
| 75.62 | 19.8 |

***

(2)
The following is a computed X-ray powder pattern of Sm3SCl3. It was derived from DFT lattice parameters and positions (PBE), using Cu Kα X-rays.

Structural model:
```
Sm3SCl3
1.0
3.435 1.983 10.100
-3.435 1.983 10.100
0.000 -3.967 10.100
Sm S Cl
6 2 6
Direct
0.051 0.394 0.708
0.292 0.949 0.606
0.394 0.708 0.051
0.606 0.292 0.949
0.708 0.051 0.394
0.949 0.606 0.292
0.333 0.333 0.333
0.667 0.667 0.667
0.106 0.780 0.433
0.220 0.567 0.894
0.433 0.106 0.780
0.567 0.894 0.220
0.780 0.433 0.106
0.894 0.220 0.567
```

Top 8 peaks for 10° ≤ 2θ ≤ 90°, sorted by position:
| 2theta | Rel. int. |
| --- | --- |
| 25.94 | 23.4 |
| 27.42 | 38.9 |
| 31.50 | 100.0 |
| 37.40 | 16.4 |
| 44.53 | 28.4 |
| 45.74 | 27.9 |
| 56.60 | 17.8 |
| 75.62 | 14.7 |

***

(3)
The following is a computed X-ray powder pattern of TbHo2CdHg4. It was derived from DFT lattice parameters and positions (PBE), using Cu Kα X-rays.

Structural model:
```
TbHo2CdHg4
1.0
2.571 1.484 8.643
-2.571 1.484 8.643
0.000 -2.969 8.643
Tb Ho Cd Hg
1 2 1 4
Direct
0.000 0.000 0.000
0.243 0.243 0.243
0.757 0.757 0.757
0.500 0.500 0.500
0.123 0.123 0.123
0.370 0.370 0.370
0.630 0.630 0.630
0.877 0.877 0.877
```

Top 8 peaks for 10° ≤ 2θ ≤ 90°, sorted by position:
| 2theta | Rel. int. |
| --- | --- |
| 34.22 | 99.6 |
| 34.90 | 100.0 |
| 49.68 | 35.1 |
| 60.82 | 16.1 |
| 62.14 | 36.0 |
| 62.58 | 18.7 |
| 82.66 | 13.9 |
| 83.82 | 16.0 |